Entry 1:
La3Mg: computed PXRD pattern (Cu Kα (weighted mean of Kα1 and Kα2)), based on DFT lattice parameters and positions (PBE).
Intensities are scaled so that the largest is 100.

Largest 6 diffraction maxima, most intense first, 2θ from 10° to 90°:
2θ (°)	I (rel.)
32.21	100
20.84	26
31.11	25
28.10	24
59.84	21
49.73	21

Atomic structure:
```
La3Mg
1.0
7.332 0.000 0.000
-3.666 6.350 0.000
0.000 0.000 5.750
La Mg
6 2
Direct
0.175 0.351 0.250
0.175 0.825 0.250
0.351 0.175 0.750
0.649 0.825 0.250
0.825 0.175 0.750
0.825 0.649 0.750
0.333 0.667 0.750
0.667 0.333 0.250
```

Entry 2:
LaMg2: computed PXRD pattern (Cu Kα (weighted mean of Kα1 and Kα2)), based on DFT lattice parameters and positions (PBE).
Intensities are scaled so that the largest is 100.

Largest 6 diffraction maxima, most intense first, 2θ from 10° to 90°:
2θ (°)	I (rel.)
11.31	100
34.35	100
32.74	29
34.48	23
22.73	22
28.61	22

Atomic structure:
```
LaMg2
1.0
12.421 0.000 0.000
0.000 3.435 0.000
-2.009 0.000 7.823
La Mg
4 8
Direct
0.143 0.000 0.045
0.357 0.500 0.955
0.643 0.500 0.045
0.857 0.000 0.955
0.022 0.500 0.320
0.185 0.000 0.614
0.315 0.500 0.386
0.478 0.000 0.680
0.522 0.000 0.320
0.685 0.500 0.614
0.815 0.000 0.386
0.978 0.500 0.680
```

Entry 3:
La4Mg: computed PXRD pattern (Cu Kα (weighted mean of Kα1 and Kα2)), based on DFT lattice parameters and positions (PBE).
Intensities are scaled so that the largest is 100.

Largest 6 diffraction maxima, most intense first, 2θ from 10° to 90°:
2θ (°)	I (rel.)
30.01	100
33.24	38
57.40	34
51.16	16
25.92	15
47.71	14

Atomic structure:
```
La4Mg
1.0
3.812 0.000 0.000
0.000 3.812 0.000
0.000 0.000 23.835
La Mg
8 2
Direct
0.000 0.000 0.088
0.000 0.000 0.306
0.000 0.000 0.694
0.000 0.000 0.912
0.500 0.500 0.194
0.500 0.500 0.412
0.500 0.500 0.588
0.500 0.500 0.806
0.000 0.000 0.500
0.500 0.500 0.000
```

Entry 4:
La2Mg: computed PXRD pattern (Cu Kα (weighted mean of Kα1 and Kα2)), based on DFT lattice parameters and positions (PBE).
Intensities are scaled so that the largest is 100.

Largest 6 diffraction maxima, most intense first, 2θ from 10° to 90°:
2θ (°)	I (rel.)
31.06	100
31.98	96
31.10	52
30.58	46
23.68	38
56.43	34

Atomic structure:
```
La2Mg
1.0
13.232 0.000 0.000
0.000 3.933 0.000
-2.274 0.000 7.637
La Mg
8 4
Direct
0.146 0.000 0.057
0.167 0.000 0.597
0.333 0.500 0.403
0.354 0.500 0.943
0.646 0.500 0.057
0.667 0.500 0.597
0.833 0.000 0.403
0.854 0.000 0.943
0.012 0.500 0.276
0.488 0.000 0.724
0.512 0.000 0.276
0.988 0.500 0.724
```

Entry 5:
La3Mg: computed PXRD pattern (Cu Kα (weighted mean of Kα1 and Kα2)), based on DFT lattice parameters and positions (PBE).
Intensities are scaled so that the largest is 100.

Largest 6 diffraction maxima, most intense first, 2θ from 10° to 90°:
2θ (°)	I (rel.)
32.04	100
30.46	34
32.77	31
60.36	27
55.14	21
28.92	18

Atomic structure:
```
La3Mg
1.0
3.703 0.000 0.000
0.000 5.869 0.000
0.000 0.000 6.175
La Mg
3 1
Direct
0.000 0.000 0.000
0.000 0.500 0.387
0.500 0.000 0.535
0.500 0.500 0.868
```

Entry 6:
LaMg5: computed PXRD pattern (Cu Kα (weighted mean of Kα1 and Kα2)), based on DFT lattice parameters and positions (PBE).
Intensities are scaled so that the largest is 100.

Largest 6 diffraction maxima, most intense first, 2θ from 10° to 90°:
2θ (°)	I (rel.)
36.40	100
11.94	93
35.07	76
14.06	62
32.28	58
15.98	56

Atomic structure:
```
LaMg5
1.0
13.031 0.000 0.000
0.000 3.227 0.000
-1.950 0.000 7.410
La Mg
2 10
Direct
0.000 0.000 0.000
0.500 0.500 0.000
0.123 0.500 0.721
0.176 0.500 0.350
0.275 0.000 0.068
0.325 0.000 0.662
0.446 0.500 0.407
0.623 0.000 0.721
0.676 0.000 0.350
0.775 0.500 0.068
0.825 0.500 0.662
0.946 0.000 0.407
```